CsYC4O9: theoretical powder diffraction line list (Cu Kα (weighted mean of Kα1 and Kα2)), based on a crystal structure in Alexandria, relaxed with GGA-PBE.
No peak broadening, texture or thermal motion is included.

```
data_CsYC4O9
_chemical_formula_sum 'Cs2 Y2 C8 O18'
_space_group_name_H-M_alt 'P 1 2/c 1'
_space_group_IT_number 13
_cell_length_a 8.809
_cell_length_b 6.337
_cell_length_c 12.478
_cell_angle_alpha 90.00
_cell_angle_beta 134.87
_cell_angle_gamma 90.00
loop_
_space_group_symop_operation_xyz
'x,y,z'
'-x,-y,-z'
'-x,y,-z+1/2'
'x,-y,z+1/2'
loop_
_atom_site_label
_atom_site_type_symbol
_atom_site_fract_x
_atom_site_fract_y
_atom_site_fract_z
_atom_site_occupancy
Cs1 Cs 0.000 0.000 0.250 1
Y1 Y 0.500 0.484 0.250 1
C1 C 0.004 0.396 0.535 1
C2 C 0.433 0.395 0.469 1
O1 O 0.176 0.319 0.026 1
O2 O 0.186 0.320 0.648 1
O3 O 0.375 0.320 0.350 1
O4 O 0.392 0.320 0.539 1
O5 O 0.500 0.097 0.250 1
```

Main lines, in order of rising 2θ (2θ = 10–80°):
hkl	2theta	I (rel.)
1 1 0	19.97	100
0 0 2	20.12	23
2 1 -2	24.58	15
2 0 0	28.61	26
0 2 2	34.86	31
1 1 2	35.12	30
2 2 -4	40.58	22
1 3 0	45.32	10
2 0 -6	45.92	19
1 3 -4	54.48	17